No. 1
Structure and theoretical PXRD pattern of ErAlGe (a structure optimized by DFT (GGA-PBE); Cu Kα).
Kinematic intensities with the Lorentz-polarization factor, no thermal factor.

Crystal structure
```
ErAlGe
1.0
4.057 0.000 0.000
0.000 10.360 0.000
0.000 0.000 5.732
Er Al Ge
4 4 4
Cartesian
0.000 1.966 1.433
0.000 8.394 4.299
2.029 3.214 4.299
2.029 7.146 1.433
0.000 5.180 0.000
0.000 5.180 2.866
2.029 0.000 0.000
2.029 0.000 2.866
0.000 1.108 4.299
0.000 9.252 1.433
2.029 4.072 1.433
2.029 6.287 4.299
```

Main lines, in order of falling intensity (2θ = 10–90°):
2theta  intensity
34.1  100
28.3  84
37.6  66
38.1  66
39.5  66
31.2  66
60.2  52
23.6  50
46.9  45
55.5  45

***

No. 2
Structure and theoretical PXRD pattern of Rb2PdC2 (a structure optimized by DFT (GGA-PBE); Cu Kα).
Kinematic intensities with the Lorentz-polarization factor, no thermal factor.

Crystal structure
```
Rb2PdC2
1.0
5.463 0.000 0.000
-2.732 4.731 0.000
0.000 0.000 5.310
Rb Pd C
2 1 2
Cartesian
0.000 3.154 1.475
2.732 1.577 3.835
0.000 0.000 0.000
0.000 0.000 2.019
0.000 0.000 3.291
```

Main lines, in order of falling intensity (2θ = 10–90°):
2theta  intensity
25.2  100
32.8  70
38.9  37
41.8  26
54.1  24
62.6  18
51.8  16
81.9  13
58.5  12
62.5  10

***

No. 3
Structure and theoretical PXRD pattern of FeCu6GeS8 (a structure optimized by DFT (GGA-PBE); Cu Kα).
Kinematic intensities with the Lorentz-polarization factor, no thermal factor.

Crystal structure
```
FeCu6GeS8
1.0
0.000 5.242 5.242
5.242 0.000 5.242
5.242 5.242 0.000
Fe Cu Ge S
1 6 1 8
Cartesian
0.000 0.000 0.000
2.621 2.621 0.051
2.621 0.051 2.621
5.190 2.621 2.621
0.051 2.621 2.621
2.621 5.190 2.621
2.621 2.621 5.190
5.242 5.242 5.242
1.272 1.272 1.272
3.969 3.969 1.272
3.969 1.272 3.969
6.550 3.933 3.933
3.933 6.550 3.933
3.933 3.933 6.550
6.550 6.550 6.550
1.272 3.969 3.969
```

Main lines, in order of falling intensity (2θ = 10–90°):
2theta  intensity
29.5  100
49.2  59
58.4  38
79.7  15
34.2  11
72.1  9
82.3  3
61.3  3
44.9  1

***

No. 4
Structure and theoretical PXRD pattern of BaGa2Pt2 (a structure optimized by DFT (GGA-PBE); Cu Kα).
Kinematic intensities with the Lorentz-polarization factor, no thermal factor.

Crystal structure
```
BaGa2Pt2
1.0
8.686 0.000 0.000
0.000 6.470 0.000
-1.154 0.000 8.392
Ba Ga Pt
4 8 8
Cartesian
2.028 0.709 0.018
1.451 2.526 4.214
6.081 3.945 4.178
5.504 5.761 8.374
-0.349 3.744 7.336
0.228 5.962 3.140
3.601 4.232 1.610
3.024 5.474 5.806
4.509 0.997 2.585
3.931 2.238 6.781
7.304 0.509 5.252
7.881 2.727 1.056
1.072 4.332 1.455
0.494 5.374 5.651
2.205 3.853 7.512
2.782 5.852 3.316
4.750 0.618 5.076
5.327 2.617 0.880
7.038 1.097 2.741
6.461 2.139 6.936
```

Main lines, in order of falling intensity (2θ = 10–90°):
2theta  intensity
31.9  100
17.1  83
35.0  69
26.2  67
25.9  63
30.9  53
34.2  53
31.8  51
44.3  51
17.3  48

***

No. 5
Structure and theoretical PXRD pattern of CsBr2F (a structure optimized by DFT (GGA-PBE); Cu Kα).
Kinematic intensities with the Lorentz-polarization factor, no thermal factor.

Crystal structure
```
CsBr2F
1.0
4.392 0.000 0.000
0.000 4.392 0.000
0.000 0.000 7.373
Cs Br F
1 2 1
Cartesian
0.000 0.000 0.000
2.196 2.196 2.489
2.196 2.196 4.884
2.196 2.196 0.000
```

Main lines, in order of falling intensity (2θ = 10–90°):
2theta  intensity
23.6  100
28.7  79
31.7  42
47.2  38
47.9  29
41.1  29
56.2  23
36.6  20
52.8  20
79.2  16

***

No. 6
Structure and theoretical PXRD pattern of Mg6SnB (a structure optimized by DFT (GGA-PBE); Cu Kα).
Kinematic intensities with the Lorentz-polarization factor, no thermal factor.

Crystal structure
```
Mg6SnB
1.0
5.254 0.000 0.000
0.000 5.987 0.000
0.000 0.000 10.565
Mg Sn B
12 2 2
Cartesian
0.000 0.000 0.000
0.000 1.446 2.688
0.000 1.547 7.970
0.000 2.994 5.283
0.000 4.440 7.970
0.000 4.541 2.688
2.627 0.000 8.821
2.627 1.483 0.888
2.627 1.511 6.171
2.627 2.994 3.538
2.627 4.476 6.171
2.627 4.504 0.888
0.000 0.000 5.254
0.000 2.994 10.536
2.627 0.000 3.464
2.627 2.994 8.747
```

Main lines, in order of falling intensity (2θ = 10–90°):
2theta  intensity
38.6  100
16.8  70
24.1  61
34.1  58
38.1  52
34.4  47
17.0  43
49.3  24
71.8  23
64.1  22